1.
For Ac7Cd2Hg2, a structure optimized by DFT (PBE) gives the calculated PXRD pattern in this record (λ = 1.5418 Å (Cu Kα)).

Most intense lines, 15 to 90 degrees two-theta, in order of falling intensity:
| 2θ (°) | I_rel |
| --- | --- |
| 33.30 | 1000 |
| 29.28 | 623 |
| 25.61 | 609 |
| 32.26 | 552 |
| 23.48 | 451 |
| 24.55 | 441 |
| 29.80 | 226 |
| 49.74 | 202 |

Structural model:
abc: 7.424 7.424 8.497
angles: 90.00 90.00 110.49
Fractional coordinates of all 11 atoms:
Ac 0.000 0.000 0.000
Ac 0.000 0.500 0.286
Ac 0.000 0.500 0.714
Ac 0.500 0.000 0.286
Ac 0.500 0.000 0.714
Ac 0.500 0.500 0.260
Ac 0.500 0.500 0.740
Cd 0.168 0.168 0.500
Cd 0.832 0.832 0.500
Hg 0.291 0.709 0.000
Hg 0.709 0.291 0.000

***

2.
For Ac2Cd5Hg4, a structure optimized by DFT (PBE) gives the calculated PXRD pattern in this record (λ = 1.5418 Å (Cu Kα)).

Most intense lines, 15 to 90 degrees two-theta, in order of falling intensity:
| 2θ (°) | I_rel |
| --- | --- |
| 36.00 | 1000 |
| 34.34 | 777 |
| 31.21 | 509 |
| 35.42 | 408 |
| 17.50 | 307 |
| 56.43 | 256 |
| 47.92 | 228 |
| 53.22 | 218 |

Structural model:
abc: 7.662 7.662 7.662
angles: 133.13 101.05 97.16
Fractional coordinates of all 11 atoms:
Ac 0.215 0.215 0.000
Ac 0.785 0.785 0.000
Cd 0.000 0.500 0.500
Cd 0.284 0.258 0.542
Cd 0.284 0.742 0.026
Cd 0.716 0.258 0.974
Cd 0.716 0.742 0.458
Hg 0.100 0.758 0.342
Hg 0.415 0.758 0.658
Hg 0.585 0.242 0.342
Hg 0.900 0.242 0.658

***

3.
For Ac3Cd2Hg, a structure optimized by DFT (PBE) gives the calculated PXRD pattern in this record (λ = 1.5418 Å (Cu Kα)).

Most intense lines, 15 to 90 degrees two-theta, in order of falling intensity:
| 2θ (°) | I_rel |
| --- | --- |
| 31.12 | 1000 |
| 55.34 | 264 |
| 44.59 | 188 |
| 73.70 | 142 |
| 55.42 | 133 |
| 64.91 | 103 |
| 21.87 | 52 |
| 73.77 | 29 |

Structural model:
abc: 5.741 17.268 4.064
angles: 90.00 90.00 90.00
Fractional coordinates of all 12 atoms:
Ac 0.000 0.000 0.000
Ac 0.000 0.336 0.000
Ac 0.000 0.664 0.000
Ac 0.500 0.164 0.000
Ac 0.500 0.500 0.000
Ac 0.500 0.836 0.000
Cd 0.000 0.171 0.500
Cd 0.000 0.829 0.500
Cd 0.500 0.329 0.500
Cd 0.500 0.671 0.500
Hg 0.000 0.500 0.500
Hg 0.500 0.000 0.500

***

4.
For Ac2Cd16Hg, a structure optimized by DFT (PBE) gives the calculated PXRD pattern in this record (λ = 1.5418 Å (Cu Kα)).

Most intense lines, 15 to 90 degrees two-theta, in order of falling intensity:
| 2θ (°) | I_rel |
| --- | --- |
| 35.12 | 1000 |
| 34.93 | 713 |
| 35.72 | 505 |
| 30.13 | 470 |
| 39.38 | 417 |
| 35.95 | 326 |
| 31.08 | 324 |
| 62.64 | 299 |

Structural model:
abc: 7.779 7.779 7.779
angles: 82.68 82.68 82.68
Fractional coordinates of all 19 atoms:
Ac 0.000 0.000 0.000
Ac 0.333 0.333 0.333
Cd 0.023 0.023 0.504
Cd 0.023 0.504 0.023
Cd 0.162 0.669 0.669
Cd 0.309 0.309 0.829
Cd 0.309 0.829 0.309
Cd 0.370 0.666 0.963
Cd 0.370 0.963 0.666
Cd 0.504 0.023 0.023
Cd 0.666 0.370 0.963
Cd 0.666 0.963 0.370
Cd 0.669 0.162 0.669
Cd 0.669 0.669 0.162
Cd 0.762 0.762 0.762
Cd 0.829 0.309 0.309
Cd 0.963 0.370 0.666
Cd 0.963 0.666 0.370
Hg 0.560 0.560 0.560